For AlN3F6, a GGA-PBE-relaxed structure gives the computed powder diffractogram in this record (CuKα).
Kinematic intensities with the Lorentz-polarization factor, no thermal factor.

Peak list (6 most intense, 2θ from 10° to 90°, low angle first)
d_spacing	2θ (°)	intensity
3.773	23.6	72
2.668	33.6	16
2.178	41.5	71
1.886	48.2	100
1.687	54.4	24
1.334	70.6	47

```
AlN3F6
1.0
0.000 3.773 3.773
3.773 0.000 3.773
3.773 3.773 0.000
Al N F
1 3 6
direct
0.000 0.000 0.000 Al
0.250 0.250 0.250 N
0.500 0.500 0.500 N
0.750 0.750 0.750 N
0.247 0.247 0.753 F
0.247 0.753 0.247 F
0.247 0.753 0.753 F
0.753 0.247 0.247 F
0.753 0.247 0.753 F
0.753 0.753 0.247 F
```